# 1
Calculated X-ray diffraction stick pattern of MgSnPt4 for Cu Ka, from DFT lattice parameters and positions (PBE).
Intensities are scaled so that the largest is 100.

Structure:
Cell: 4.327 4.327 5.984 Å, 90.00 90.00 90.00°
Element x y z (fractional)
Mg  0.000  0.000  0.000
Sn  0.500  0.500  0.500
Pt  0.000  0.500  0.241
Pt  0.000  0.500  0.759
Pt  0.500  0.000  0.241
Pt  0.500  0.000  0.759

Top 6 peaks for 10 to 90 degrees two-theta, in order of rising 2θ:
- hkl 1 1 0, d 3.060, intensity 62
- hkl 0 0 2, d 2.992, intensity 29
- hkl 2 0 0, d 2.163, intensity 52
- hkl 1 1 2, d 2.139, intensity 100
- hkl 2 0 2, d 1.753, intensity 25
- hkl 3 1 2, d 1.244, intensity 36


# 2
Calculated X-ray diffraction stick pattern of Pm4Er3Tm4 for Cu Ka, from DFT lattice parameters and positions (PBE).
Intensities are scaled so that the largest is 100.

Structure:
Cell: 3.567 5.544 18.158 Å, 98.76 95.60 90.00°
Element x y z (fractional)
Pm  0.053  0.053  0.105
Pm  0.178  0.677  0.354
Pm  0.822  0.323  0.646
Pm  0.947  0.947  0.895
Er  0.353  0.854  0.708
Er  0.500  0.500  0.000
Er  0.647  0.146  0.292
Tm  0.235  0.235  0.470
Tm  0.406  0.407  0.815
Tm  0.594  0.593  0.185
Tm  0.765  0.765  0.530

Top 6 peaks for 10 to 90 degrees two-theta, in order of rising 2θ:
- hkl 1 1 -3, d 2.843, intensity 39
- hkl 0 1 5, d 2.802, intensity 100
- hkl 0 2 -1, d 2.772, intensity 59
- hkl 1 1 2, d 2.679, intensity 78
- hkl 1 2 7, d 1.516, intensity 22
- hkl 2 1 -7, d 1.505, intensity 31